Simulated XRD peak list of Rb3YBr6 for Cu Kα (λ = 1.5418 Å), from a structure optimized by DFT (GGA-PBE).

```
Rb3YBr6
1.0
0.000 6.056 6.056
6.056 0.000 6.056
6.056 6.056 0.000
Rb Y Br
3 1 6
direct
0.000 0.000 0.000
0.250 0.250 0.250
0.750 0.750 0.750
0.500 0.500 0.500
0.269 0.269 0.731
0.269 0.731 0.269
0.269 0.731 0.731
0.731 0.269 0.269
0.731 0.269 0.731
0.731 0.731 0.269
```

The 10 most intense peaks (15° ≤ 2θ ≤ 90°), sorted by position:
two_theta  Rel. int.
20.74  27
25.48  65
29.50  100
36.34  10
42.21  70
49.95  25
52.33  23
61.22  10
69.40  27
77.16  19